Simulated powder diffractogram
Compound: Ac5Sm2Ho
Radiation: λ = 1.5418 Å (Cu Kα)
Structure: a PBE-relaxed structure

```
Ac5Sm2Ho
1.0
7.6128 0.0000 0.0000
0.0000 15.2652 0.0000
0.0000 0.0000 5.5142
Ac Sm Ho
10 4 2
Direct
0.0000 0.0000 0.0000 Ac
0.0150 0.2548 0.0000 Ac
0.2374 0.6203 0.5000 Ac
0.2626 0.1203 0.5000 Ac
0.4850 0.7548 0.0000 Ac
0.5000 0.5000 0.0000 Ac
0.5150 0.2452 0.0000 Ac
0.7374 0.8797 0.5000 Ac
0.7626 0.3797 0.5000 Ac
0.9850 0.7452 0.0000 Ac
0.2407 0.8759 0.5000 Sm
0.2593 0.3759 0.5000 Sm
0.7407 0.6241 0.5000 Sm
0.7593 0.1241 0.5000 Sm
0.0000 0.5000 0.0000 Ho
0.5000 0.0000 0.0000 Ho
```

Top 6 peaks for 15° ≤ 2θ ≤ 90°, low angle first:
(0 4 1), 2θ = 28.47°, I 100
(0 0 2), 2θ = 32.47°, I 18
(2 4 0), 2θ = 33.24°, I 33
(2 4 2), 2θ = 47.16°, I 25
(0 4 3), 2θ = 55.50°, I 16
(2 8 1), 2θ = 56.51°, I 29